Diffraction record for TaTlGe2I. The powder X-ray diffraction pattern is simulated, not measured: it uses a PBE-relaxed structure and Cu Kα, 1.54184 Å.

Structure:
```
data_TaTlGe2I
_cell_length_a 5.577
_cell_length_b 5.577
_cell_length_c 5.143
_cell_angle_alpha 90.00
_cell_angle_beta 90.00
_cell_angle_gamma 90.00
_space_group_name_H-M_alt 'P 4/m m m'
_space_group_IT_number 123
_space_group_name_Hall '-P 4 2'
loop_
_atom_site_label
_atom_site_type_symbol
_atom_site_fract_x
_atom_site_fract_y
_atom_site_fract_z
Ta1 Ta 0.000 0.000 0.000
Tl1 Tl 0.500 0.500 0.000
Ge1 Ge 0.000 0.500 0.500
I1 I 0.000 0.000 0.500
```

Most intense lines, 2θ = 10–80°, by intensity:
d/Å	two_theta	I/Imax	hkl
3.130	28.52	1000	1 1 1
2.789	32.10	972	2 0 0
3.944	22.55	678	1 1 0
1.891	48.13	630	2 0 2
2.572	34.89	389	0 0 2
1.972	46.03	359	2 2 0
1.565	59.03	342	2 2 2
1.668	55.04	327	3 1 1
2.154	41.94	273	1 1 2
3.781	23.53	215	1 0 1

=====

Diffraction record for K6Rb2AuF. The powder X-ray diffraction pattern is simulated, not measured: it uses a PBE-relaxed structure and Cu Kα, 1.54184 Å.

Structure:
```
data_K6Rb2AuF
_cell_length_a 12.112
_cell_length_b 12.045
_cell_length_c 9.070
_cell_angle_alpha 90.00
_cell_angle_beta 123.92
_cell_angle_gamma 90.00
_space_group_name_H-M_alt 'C 1 m 1'
_space_group_IT_number 8
loop_
_space_group_symop_operation_xyz
'x,y,z'
'x,-y,z'
'x+1/2,y+1/2,z'
'x+1/2,-y+1/2,z'
loop_
_atom_site_label
_atom_site_type_symbol
_atom_site_fract_x
_atom_site_fract_y
_atom_site_fract_z
K1 K 0.000 0.000 0.000
K2 K 0.028 0.500 0.629
K3 K 0.088 0.000 0.627
K4 K 0.305 0.227 0.654
K5 K 0.463 0.000 0.080
Rb1 Rb 0.290 0.297 0.192
Au1 Au 0.265 0.500 0.496
F1 F 0.342 0.000 0.731
```

Most intense lines, 2θ = 10–80°, by intensity:
d/Å	two_theta	I/Imax	hkl
7.717	11.47	1000	1 1 0
7.126	12.42	736	1 1 -1
3.563	24.99	642	2 2 -2
3.013	29.65	604	0 4 0
5.025	17.65	579	2 0 0
3.191	27.96	533	0 2 2
3.656	24.35	523	1 3 -1
6.012	14.73	470	2 0 -1
4.702	18.87	467	0 2 1
4.252	20.89	436	2 2 -1

=====

Diffraction record for CdRhSe4. The powder X-ray diffraction pattern is simulated, not measured: it uses a PBE-relaxed structure and Cu Kα, 1.54184 Å.

Structure:
```
data_CdRhSe4
_cell_length_a 7.988
_cell_length_b 7.988
_cell_length_c 7.988
_cell_angle_alpha 90.00
_cell_angle_beta 90.00
_cell_angle_gamma 90.00
_space_group_name_H-M_alt 'F -4 3 m'
_space_group_IT_number 216
_space_group_name_Hall 'F -4 2 3'
loop_
_atom_site_label
_atom_site_type_symbol
_atom_site_fract_x
_atom_site_fract_y
_atom_site_fract_z
Cd1 Cd 0.000 0.000 0.000
Rh1 Rh 0.250 0.250 0.750
Se1 Se 0.124 0.124 0.376
```

Most intense lines, 2θ = 10–80°, by intensity:
d/Å	two_theta	I/Imax	hkl
2.408	37.34	1000	3 1 1
2.824	31.68	385	2 2 0
1.537	60.20	320	5 1 1
2.306	39.06	299	2 2 2
1.412	66.18	263	4 4 0
1.631	56.43	143	4 2 2
1.204	79.61	111	6 2 2
1.218	78.52	110	5 3 3
1.263	75.23	59	6 2 0
1.997	45.42	14	4 0 0

=====

Diffraction record for Hf5Zr6. The powder X-ray diffraction pattern is simulated, not measured: it uses a PBE-relaxed structure and Cu Kα, 1.54184 Å.

Structure:
```
data_Hf5Zr6
_cell_length_a 9.166
_cell_length_b 12.043
_cell_length_c 5.392
_cell_angle_alpha 90.00
_cell_angle_beta 120.61
_cell_angle_gamma 90.00
_space_group_name_H-M_alt 'C 1 2/m 1'
_space_group_IT_number 12
loop_
_space_group_symop_operation_xyz
'x,y,z'
'-x,-y,-z'
'-x,y,-z'
'x,-y,z'
'x+1/2,y+1/2,z'
'-x+1/2,-y+1/2,-z'
'-x+1/2,y+1/2,-z'
'x+1/2,-y+1/2,z'
loop_
_atom_site_label
_atom_site_type_symbol
_atom_site_fract_x
_atom_site_fract_y
_atom_site_fract_z
Hf1 Hf 0.000 0.000 0.000
Hf2 Hf 0.000 0.133 0.500
Hf3 Hf 0.000 0.267 0.000
Zr1 Zr 0.182 0.500 0.094
Zr2 Zr 0.183 0.361 0.606
```

Most intense lines, 2θ = 10–80°, by intensity:
d/Å	two_theta	I/Imax	hkl
2.526	35.54	1000	0 4 1
2.427	37.05	815	3 3 -1
2.685	33.38	510	2 0 -2
2.569	34.92	398	3 1 0
2.459	36.54	367	2 4 -1
2.562	35.03	297	1 3 1
2.320	38.81	261	0 0 2
3.945	22.54	248	2 0 0
1.533	60.39	238	2 4 -3
6.599	13.42	236	1 1 0